Structure and simulated XRD peak list of Ac2MnGe4Pd3 (DFT lattice parameters and positions (GGA-PBE); Cu Kα).

Largest 10 diffraction maxima, sorted by position, 5° ≤ 2θ ≤ 70°:
- 28.57°, I = 305
- 32.46°, I = 871
- 33.30°, I = 1000
- 40.85°, I = 614
- 47.60°, I = 326
- 53.12°, I = 439
- 59.15°, I = 205
- 60.21°, I = 164
- 64.49°, I = 264
- 69.59°, I = 237

Cell and atoms:
a b c (Å): 4.418 4.418 10.593
angles (deg): 90.00 90.00 90.00
Atoms (fractional coordinates):
Ac: 0.000 0.500 0.248
Ac: 0.500 0.000 0.752
Mn: 0.000 0.000 0.500
Ge: 0.000 0.000 0.000
Ge: 0.000 0.500 0.627
Ge: 0.500 0.000 0.373
Ge: 0.500 0.500 0.000
Pd: 0.000 0.500 0.873
Pd: 0.500 0.000 0.127
Pd: 0.500 0.500 0.500